Entry 1:
Rb2LuCl5: simulated powder diffraction line list (copper Kα), based on a crystal structure in the Materials Project, relaxed with GGA-PBE.

Structural model:
Cell lengths 9.461, 7.350, 14.881 Å; angles 90.00, 90.00, 90.00 degrees
Space group Pnma (No. 62)
Inequivalent atoms, fractional coordinates:
1 Rb 0.024 0.250 0.212 (multiplicity 4)
2 Rb 0.164 0.750 0.417 (multiplicity 4)
3 Lu 0.179 0.750 0.065 (multiplicity 4)
4 Cl 0.000 0.000 0.000 (multiplicity 4)
5 Cl 0.020 0.750 0.203 (multiplicity 4)
6 Cl 0.166 0.506 0.618 (multiplicity 8)
7 Cl 0.212 0.250 0.404 (multiplicity 4)

Main lines, in order of rising 2θ (2θ from 15° to 90°):
2θ = 16.39°, I = 67, (1 1 1)
2θ = 21.61°, I = 100, (0 1 3)
2θ = 22.31°, I = 94, (2 1 0)
2θ = 24.22°, I = 58, (0 2 0)
2θ = 25.39°, I = 42, (2 1 2)
2θ = 31.41°, I = 45, (2 2 1)
2θ = 33.14°, I = 72, (2 2 2)
2θ = 35.85°, I = 52, (2 2 3)
2θ = 41.09°, I = 32, (0 3 3)
2θ = 49.37°, I = 42, (4 2 3)

=====

Entry 2:
Rb3LuCl6: simulated powder diffraction line list (copper Kα), based on a crystal structure in the Materials Project, relaxed with GGA-PBE.

Structural model:
Cell lengths 11.384, 11.384, 11.384 Å; angles 90.00, 90.00, 90.00 degrees
Space group Fm-3m (No. 225)
Inequivalent atoms, fractional coordinates:
1 Rb 0.000 0.000 0.000 (multiplicity 4)
2 Rb 0.250 0.250 0.250 (multiplicity 8)
3 Lu 0.000 0.000 0.500 (multiplicity 4)
4 Cl 0.000 0.000 0.273 (multiplicity 24)

Main lines, in order of rising 2θ (2θ from 15° to 90°):
2θ = 15.57°, I = 24, (2 0 0)
2θ = 22.09°, I = 100, (2 2 0)
2θ = 31.43°, I = 64, (4 0 0)
2θ = 38.75°, I = 45, (4 2 2)
2θ = 45.05°, I = 43, (4 4 0)
2θ = 50.72°, I = 25, (6 2 0)
2θ = 55.96°, I = 14, (4 4 4)
2θ = 60.90°, I = 27, (6 4 2)
2θ = 74.56°, I = 17, (8 4 0)
2θ = 87.35°, I = 15, (10 2 0)

=====

Entry 3:
MgCl2: simulated powder diffraction line list (copper Kα), based on a crystal structure in the Materials Project, relaxed with GGA-PBE.

Structural model:
Cell lengths 6.791, 7.083, 7.125 Å; angles 64.87, 65.97, 77.37 degrees
Space group P-1 (No. 2)
Inequivalent atoms, fractional coordinates:
1 Mg 0.001 0.134 0.136 (multiplicity 2)
2 Cl 0.000 0.000 0.500 (multiplicity 1)
3 Cl 0.000 0.500 0.000 (multiplicity 1)
4 Cl 0.280 0.984 0.898 (multiplicity 2)

Main lines, in order of rising 2θ (2θ from 15° to 90°):
2θ = 16.47°, I = 46, (1 0 1)
2θ = 25.24°, I = 72, (-1 1 1)
2θ = 27.19°, I = 65, (2 1 1)
2θ = 27.90°, I = 100, (0 2 0)
2θ = 30.71°, I = 24, (2 1 2)
2θ = 36.40°, I = 24, (0 2 -1)
2θ = 41.73°, I = 20, (0 1 3)
2θ = 44.17°, I = 26, (2 3 1)
2θ = 44.57°, I = 24, (-1 3 1)
2θ = 47.05°, I = 25, (3 1 3)

=====

Entry 4:
MgCl2: simulated powder diffraction line list (copper Kα), based on a crystal structure in the Materials Project, relaxed with GGA-PBE.

Structural model:
Cell lengths 3.933, 3.933, 5.664 Å; angles 90.00, 90.00, 90.00 degrees
Space group P-4m2 (No. 115)
Inequivalent atoms, fractional coordinates:
1 Mg 0.000 0.000 0.000 (multiplicity 1)
2 Cl 0.000 0.500 0.765 (multiplicity 2)

Main lines, in order of rising 2θ (2θ from 15° to 90°):
2θ = 15.64°, I = 19, (0 0 1)
2θ = 22.61°, I = 9, (1 0 0)
2θ = 27.61°, I = 100, (1 0 1)
2θ = 32.18°, I = 12, (1 1 0)
2θ = 45.72°, I = 34, (1 1 2)
2θ = 46.16°, I = 17, (2 0 0)
2θ = 53.86°, I = 11, (1 0 3)
2θ = 54.63°, I = 23, (2 1 1)
2θ = 73.59°, I = 8, (2 1 3)
2θ = 85.21°, I = 10, (3 1 2)

=====

Entry 5:
MgCl2: simulated powder diffraction line list (copper Kα), based on a crystal structure in the Materials Project, relaxed with GGA-PBE.

Structural model:
Cell lengths 3.6759, 3.6759, 19.7220 Å; angles 90.00, 90.00, 120.00 degrees
Space group R-3m (No. 166, hexagonal axes)
Inequivalent atoms, fractional coordinates:
1 Mg 0.0000 0.0000 0.0000 (multiplicity 3)
2 Cl 0.0000 0.0000 0.2637 (multiplicity 6)

Main lines, in order of rising 2θ (2θ from 15° to 90°):
2θ = 27.13°, I = 10, (0 0 6)
2θ = 29.48°, I = 35, (0 1 2)
2θ = 33.51°, I = 100, (1 0 4)
2θ = 42.86°, I = 24, (1 0 7)
2θ = 46.60°, I = 27, (0 1 8)
2θ = 49.60°, I = 31, (1 1 0)
2θ = 51.64°, I = 12, (1 1 3)
2θ = 59.14°, I = 13, (0 1 11)
2θ = 61.19°, I = 14, (0 2 4)
2θ = 82.53°, I = 12, (2 1 4)

=====

Entry 6:
MgCl2: simulated powder diffraction line list (copper Kα), based on a crystal structure in the Materials Project, relaxed with GGA-PBE.

Structural model:
Cell lengths 3.6768, 3.6768, 6.4157 Å; angles 90.00, 90.00, 120.00 degrees
Space group P-3m1 (No. 164)
Inequivalent atoms, fractional coordinates:
1 Mg 0.0000 0.0000 0.0000 (multiplicity 1)
2 Cl 0.3333 0.6667 0.7862 (multiplicity 2)

Main lines, in order of rising 2θ (2θ from 15° to 90°):
2θ = 27.81°, I = 9, (0 0 2)
2θ = 31.36°, I = 100, (1 0 1)
2θ = 39.89°, I = 50, (1 0 2)
2θ = 49.59°, I = 28, (1 1 0)
2θ = 51.47°, I = 25, (0 1 3)
2θ = 51.73°, I = 10, (1 1 1)
2θ = 59.85°, I = 12, (0 2 1)
2θ = 65.45°, I = 10, (0 2 2)
2θ = 81.34°, I = 10, (2 1 1)
2θ = 86.34°, I = 9, (2 1 2)

=====

Entry 7:
MgCl2: simulated powder diffraction line list (copper Kα), based on a crystal structure in the Materials Project, relaxed with GGA-PBE.

Structural model:
Cell lengths 9.554, 7.836, 4.247 Å; angles 90.00, 90.00, 90.00 degrees
Space group Ama2 (No. 40)
Inequivalent atoms, fractional coordinates:
1 Mg 0.250 0.018 0.000 (multiplicity 4)
2 Cl 0.000 0.000 0.967 (multiplicity 4)
3 Cl 0.250 0.186 0.494 (multiplicity 4)

Main lines, in order of rising 2θ (2θ from 15° to 90°):
2θ = 22.70°, I = 33, (0 2 0)
2θ = 23.83°, I = 100, (0 1 1)
2θ = 24.56°, I = 42, (1 2 0)
2θ = 25.61°, I = 70, (1 1 1)
2θ = 29.49°, I = 33, (2 2 0)
2θ = 37.66°, I = 58, (4 0 0)
2θ = 40.55°, I = 84, (0 3 1)
2θ = 42.57°, I = 38, (0 0 2)
2θ = 45.06°, I = 31, (4 1 1)
2θ = 56.53°, I = 56, (4 3 1)

=====

Entry 8:
MgCl2: simulated powder diffraction line list (copper Kα), based on a crystal structure in the Materials Project, relaxed with GGA-PBE.

Structural model:
Cell lengths 6.321, 3.669, 6.510 Å; angles 90.00, 90.00, 90.00 degrees
Space group Pmma (No. 51)
Inequivalent atoms, fractional coordinates:
1 Mg 0.000 0.000 0.000 (multiplicity 2)
2 Cl 0.250 0.000 0.273 (multiplicity 2)
3 Cl 0.250 0.500 0.828 (multiplicity 2)

Main lines, in order of rising 2θ (2θ from 15° to 90°):
2θ = 28.24°, I = 16, (2 0 0)
2θ = 30.90°, I = 19, (1 0 2)
2θ = 31.36°, I = 100, (1 1 1)
2θ = 39.74°, I = 39, (2 0 2)
2θ = 40.12°, I = 24, (2 1 1)
2θ = 48.75°, I = 16, (0 1 3)
2θ = 49.69°, I = 12, (0 2 0)
2θ = 51.02°, I = 11, (2 0 3)
2θ = 51.98°, I = 19, (3 1 1)
2θ = 65.44°, I = 14, (2 2 2)